Simulated powder X-ray diffraction pattern of MnCo4O8 for copper Kα, from the PBE+U geometry in the Materials Project.
No peak broadening, texture or thermal motion is included.

Most intense lines, 2θ from 15° to 90°, sorted by position:
2θ = 18.24°, intensity 100; 2θ = 36.49°, intensity 19; 2θ = 38.36°, intensity 19; 2θ = 43.68°, intensity 72; 2θ = 44.68°, intensity 35; 2θ = 64.82°, intensity 29

Atomic structure:
Cell: 5.7560 5.7560 5.9789 Å, 120.25 120.25 59.96°
Atoms (fractional coordinates):
Mn 0.0000 0.0000 0.0000
Co 0.0000 0.0000 0.5000
Co 0.0000 0.5000 0.0000
Co 0.5000 0.0000 0.0000
Co 0.5000 0.5000 0.0000
O 0.2178 0.7535 0.2147
O 0.2375 0.2375 0.1961
O 0.2465 0.7822 0.7853
O 0.2485 0.2485 0.7890
O 0.7515 0.7515 0.2110
O 0.7535 0.2178 0.2147
O 0.7625 0.7625 0.8039
O 0.7822 0.2465 0.7853

Simulated powder X-ray diffraction pattern of Mn3Co2O8 for copper Kα, from the PBE+U geometry in the Materials Project.
No peak broadening, texture or thermal motion is included.

Most intense lines, 2θ from 15° to 90°, sorted by position:
2θ = 18.89°, intensity 43; 2θ = 30.16°, intensity 100; 2θ = 32.40°, intensity 45; 2θ = 36.72°, intensity 56; 2θ = 37.07°, intensity 43; 2θ = 61.41°, intensity 49

Atomic structure:
Cell: 5.8725 5.0240 9.3962 Å, 90.00 90.00 90.00°
Atoms (fractional coordinates):
Mn 0.0000 0.1724 0.0000
Mn 0.2413 0.3373 0.4982
Mn 0.2587 0.6627 0.9982
Mn 0.5000 0.8276 0.5000
Mn 0.7413 0.6627 0.9982
Mn 0.7587 0.3373 0.4982
Co 0.0000 0.8277 0.2848
Co 0.0000 0.8364 0.6790
Co 0.5000 0.1636 0.1790
Co 0.5000 0.1723 0.7848
O 0.0000 0.1831 0.3930
O 0.0000 0.4677 0.6124
O 0.0000 0.5045 0.1056
O 0.0000 0.8377 0.8908
O 0.2199 0.9788 0.1211
O 0.2406 0.3389 0.8939
O 0.2594 0.6611 0.3939
O 0.2801 0.0212 0.6211
O 0.5000 0.1623 0.3908
O 0.5000 0.4955 0.6056
O 0.5000 0.5323 0.1124
O 0.5000 0.8169 0.8930
O 0.7199 0.0212 0.6211
O 0.7406 0.6611 0.3939
O 0.7594 0.3389 0.8939
O 0.7801 0.9788 0.1211

Simulated powder X-ray diffraction pattern of MnCo2O4 for copper Kα, from the PBE+U geometry in the Materials Project.
No peak broadening, texture or thermal motion is included.

Most intense lines, 2θ from 15° to 90°, sorted by position:
2θ = 17.98°, intensity 17; 2θ = 29.57°, intensity 27; 2θ = 34.83°, intensity 100; 2θ = 42.32°, intensity 24; 2θ = 55.93°, intensity 37; 2θ = 61.39°, intensity 46

Atomic structure:
Cell: 6.0409 6.0409 6.0409 Å, 60.00 60.00 60.00°
Atoms (fractional coordinates):
Mn 0.1250 0.1250 0.1250
Mn 0.8750 0.8750 0.8750
Co 0.0000 0.5000 0.5000
Co 0.5000 0.0000 0.5000
Co 0.5000 0.5000 0.0000
Co 0.5000 0.5000 0.5000
O 0.2619 0.2619 0.2619
O 0.2619 0.2619 0.7143
O 0.2619 0.7143 0.2619
O 0.2857 0.7381 0.7381
O 0.7143 0.2619 0.2619
O 0.7381 0.2857 0.7381
O 0.7381 0.7381 0.2857
O 0.7381 0.7381 0.7381

Simulated powder X-ray diffraction pattern of Mn2CoO6 for copper Kα, from the PBE+U geometry in the Materials Project.
No peak broadening, texture or thermal motion is included.

Most intense lines, 2θ from 15° to 90°, sorted by position:
2θ = 18.45°, intensity 100; 2θ = 36.38°, intensity 31; 2θ = 43.95°, intensity 30; 2θ = 44.07°, intensity 15; 2θ = 57.89°, intensity 10; 2θ = 63.56°, intensity 10

Atomic structure:
Cell: 6.5235 6.5235 5.8591 Å, 103.89 103.89 25.67°
Atoms (fractional coordinates):
Mn 0.1660 0.1660 0.3301
Mn 0.8340 0.8340 0.6699
Co 0.5000 0.5000 0.0000
O 0.0098 0.0098 0.2143
O 0.3231 0.3231 0.4447
O 0.3472 0.3472 0.8930
O 0.6528 0.6528 0.1070
O 0.6769 0.6769 0.5553
O 0.9902 0.9902 0.7857

Simulated powder X-ray diffraction pattern of Mn2CoO4 for copper Kα, from the PBE+U geometry in the Materials Project.
No peak broadening, texture or thermal motion is included.

Most intense lines, 2θ from 15° to 90°, sorted by position:
2θ = 28.89°, intensity 38; 2θ = 32.47°, intensity 72; 2θ = 35.91°, intensity 100; 2θ = 58.15°, intensity 22; 2θ = 59.78°, intensity 28; 2θ = 59.93°, intensity 28

Atomic structure:
Cell: 6.2313 6.2313 5.7935 Å, 117.54 117.54 55.56°
Atoms (fractional coordinates):
Mn 0.0000 0.0000 0.0000
Mn 0.0000 0.0000 0.5000
Mn 0.0000 0.5000 0.0000
Mn 0.5000 0.0000 0.0000
Co 0.3749 0.3749 0.6252
Co 0.6251 0.6251 0.3748
O 0.2219 0.7658 0.2443
O 0.2342 0.7781 0.7557
O 0.2431 0.2431 0.7641
O 0.2447 0.2447 0.2208
O 0.7553 0.7553 0.7792
O 0.7569 0.7569 0.2359
O 0.7658 0.2219 0.2443
O 0.7781 0.2342 0.7557

Simulated powder X-ray diffraction pattern of MnCo2O6 for copper Kα, from the PBE+U geometry in the Materials Project.
No peak broadening, texture or thermal motion is included.

Most intense lines, 2θ from 15° to 90°, sorted by position:
2θ = 18.73°, intensity 100; 2θ = 36.65°, intensity 22; 2θ = 36.84°, intensity 11; 2θ = 44.44°, intensity 30; 2θ = 44.59°, intensity 15; 2θ = 58.73°, intensity 15

Atomic structure:
Cell: 6.4480 6.4480 5.7715 Å, 103.70 103.70 25.81°
Atoms (fractional coordinates):
Mn 0.0000 0.0000 0.0000
Co 0.3319 0.3319 0.6642
Co 0.6681 0.6681 0.3358
O 0.1581 0.1581 0.1167
O 0.1783 0.1783 0.5543
O 0.4867 0.4867 0.7727
O 0.5133 0.5133 0.2273
O 0.8217 0.8217 0.4457
O 0.8419 0.8419 0.8833

Simulated powder X-ray diffraction pattern of Mn2CoO4 for copper Kα, from the PBE+U geometry in the Materials Project.
No peak broadening, texture or thermal motion is included.

Most intense lines, 2θ from 15° to 90°, sorted by position:
2θ = 32.97°, intensity 70; 2θ = 35.66°, intensity 100; 2θ = 35.81°, intensity 36; 2θ = 57.67°, intensity 27; 2θ = 60.03°, intensity 36; 2θ = 60.41°, intensity 36

Atomic structure:
Cell: 6.1644 6.1975 8.2708 Å, 89.91 89.59 83.98°
Atoms (fractional coordinates):
Mn 0.0000 0.0000 0.0000
Mn 0.0000 0.4938 0.9973
Mn 0.2543 0.2508 0.2495
Mn 0.2541 0.7501 0.7460
Mn 0.5066 0.7549 0.1270
Mn 0.5093 0.4982 0.4964
Mn 0.5137 0.0057 0.4985
Mn 0.7570 0.7486 0.7458
Co 0.0043 0.2479 0.6213
Co 0.0041 0.7450 0.3696
Co 0.5069 0.2506 0.8743
Co 0.7562 0.2488 0.2496
O 0.0132 0.9845 0.7593
O 0.2321 0.7562 0.9860
O 0.2389 0.2587 0.0133
O 0.2721 0.2394 0.4852
O 0.2726 0.7413 0.5045
O 0.4962 0.5163 0.7356
O 0.5134 0.4768 0.2620
O 0.5137 0.9834 0.7368
O 0.5286 0.0414 0.2593
O 0.7391 0.7583 0.5087
O 0.7426 0.2580 0.4846
O 0.7689 0.2410 0.0138
O 0.7762 0.7400 0.9820
O 0.9832 0.4634 0.2396
O 0.9984 0.0144 0.2371
O 0.9986 0.5131 0.7575

Simulated powder X-ray diffraction pattern of Mn5Co3O16 for copper Kα, from the PBE+U geometry in the Materials Project.
No peak broadening, texture or thermal motion is included.

Most intense lines, 2θ from 15° to 90°, sorted by position:
2θ = 20.23°, intensity 100; 2θ = 20.61°, intensity 87; 2θ = 20.73°, intensity 48; 2θ = 37.99°, intensity 49; 2θ = 48.09°, intensity 45; 2θ = 65.83°, intensity 46

Atomic structure:
Cell: 5.6742 5.6762 8.7820 Å, 89.30 89.31 60.25°
Atoms (fractional coordinates):
Mn 0.0000 0.0000 0.0000
Mn 0.0022 0.4997 0.2274
Mn 0.1668 0.6653 0.4991
Mn 0.5021 0.4980 0.0000
Mn 0.6678 0.1665 0.7257
Co 0.1672 0.1673 0.5043
Co 0.5018 0.9997 0.0054
Co 0.6696 0.6648 0.5042
O 0.9999 0.4979 0.6119
O 0.0050 0.0036 0.6089
O 0.1701 0.6679 0.1138
O 0.1758 0.1630 0.1086
O 0.2954 0.3477 0.3727
O 0.3373 0.8352 0.8925
O 0.3384 0.8361 0.3946
O 0.3748 0.3068 0.8732
O 0.4994 0.9977 0.6042
O 0.5047 0.5043 0.6095
O 0.6654 0.6735 0.1085
O 0.6679 0.1661 0.1126
O 0.8086 0.8732 0.8731
O 0.8167 0.3145 0.8688
O 0.8496 0.7932 0.3723
O 0.8568 0.3545 0.3788

Simulated powder X-ray diffraction pattern of MnCo2O4 for copper Kα, from the PBE+U geometry in the Materials Project.
No peak broadening, texture or thermal motion is included.

Most intense lines, 2θ from 15° to 90°, sorted by position:
2θ = 30.81°, intensity 38; 2θ = 36.04°, intensity 85; 2θ = 36.16°, intensity 64; 2θ = 36.35°, intensity 100; 2θ = 44.13°, intensity 48; 2θ = 58.20°, intensity 41

Atomic structure:
Cell: 5.7998 5.8574 10.1199 Å, 89.17 73.77 61.19°
Atoms (fractional coordinates):
Mn 0.0000 0.0000 0.0000
Mn 0.0175 0.4806 0.4919
Mn 0.1343 0.9218 0.3076
Mn 0.5101 0.7417 0.7461
Co 0.1304 0.4305 0.8068
Co 0.5025 0.9980 0.9996
Co 0.5053 0.4932 0.9980
Co 0.5072 0.2415 0.2473
Co 0.5121 0.9898 0.4952
Co 0.5138 0.4852 0.4938
Co 0.8788 0.5588 0.1849
Co 0.8877 0.0535 0.6863
O 0.2551 0.1045 0.8878
O 0.2803 0.8464 0.0975
O 0.2815 0.5678 0.3749
O 0.2895 0.6160 0.8698
O 0.2908 0.3411 0.6013
O 0.2955 0.3416 0.1149
O 0.2993 0.1116 0.3708
O 0.2997 0.8353 0.6064
O 0.7121 0.1465 0.3801
O 0.7159 0.3755 0.1256
O 0.7188 0.6471 0.8869
O 0.7311 0.1395 0.8941
O 0.7342 0.6377 0.3898
O 0.7341 0.8634 0.6208
O 0.7345 0.9098 0.1212
O 0.7662 0.3773 0.6030

Simulated powder X-ray diffraction pattern of MnCo4O8 for copper Kα, from the PBE+U geometry in the Materials Project.
No peak broadening, texture or thermal motion is included.

Most intense lines, 2θ from 15° to 90°, sorted by position:
2θ = 18.60°, intensity 100; 2θ = 36.77°, intensity 19; 2θ = 43.75°, intensity 36; 2θ = 44.52°, intensity 35; 2θ = 45.45°, intensity 33; 2θ = 65.29°, intensity 19

Atomic structure:
Cell: 5.6825 5.6912 5.7139 Å, 91.12 119.72 117.60°
Atoms (fractional coordinates):
Mn 0.0000 0.0000 0.0000
Co 0.0000 0.0000 0.5000
Co 0.5000 0.0000 0.0000
Co 0.5000 0.0000 0.5000
Co 0.5000 0.5000 0.0000
O 0.0261 0.7906 0.2625
O 0.0440 0.8022 0.7665
O 0.4546 0.2064 0.7374
O 0.4633 0.2101 0.2269
O 0.5367 0.7899 0.7731
O 0.5454 0.7936 0.2626
O 0.9560 0.1978 0.2335
O 0.9739 0.2094 0.7375

Simulated powder X-ray diffraction pattern of Mn2Co5O12 for copper Kα, from the PBE+U geometry in the Materials Project.
No peak broadening, texture or thermal motion is included.

Most intense lines, 2θ from 15° to 90°, sorted by position:
2θ = 18.80°, intensity 75; 2θ = 21.64°, intensity 28; 2θ = 24.78°, intensity 47; 2θ = 44.52°, intensity 100; 2θ = 45.79°, intensity 51; 2θ = 65.94°, intensity 36

Atomic structure:
Cell: 4.9103 4.9103 9.6472 Å, 95.91 95.91 120.04°
Atoms (fractional coordinates):
Mn 0.0000 0.0000 0.0000
Mn 0.5197 0.4803 0.5000
Co 0.1904 0.8096 0.5000
Co 0.3083 0.2139 0.7704
Co 0.3408 0.6592 0.0000
Co 0.7861 0.6917 0.2296
Co 0.8543 0.1457 0.5000
O 0.0125 0.2823 0.8788
O 0.0577 0.7179 0.1105
O 0.1282 0.0844 0.3924
O 0.2307 0.5088 0.6066
O 0.2821 0.9423 0.8895
O 0.3635 0.3916 0.1093
O 0.4912 0.7693 0.3934
O 0.5502 0.1878 0.6104
O 0.6084 0.6365 0.8907
O 0.7177 0.9875 0.1212
O 0.8122 0.4498 0.3896
O 0.9156 0.8718 0.6076